[1]
For CaBe2Ga2, a DFT-relaxed cell (GGA-PBE, Alexandria) gives the computed X-ray powder pattern in this record (λ = 1.5418 Å (Cu Kα)).
Intensities are scaled so that the largest is 100.

Structural model:
Lattice parameters (Å, degrees): 3.9506 3.9506 10.2799 90.00 90.00 90.00
Space group I4/mmm (No. 139)
Inequivalent atoms, fractional coordinates:
Ca (0.0000, 0.0000, 0.0000) (multiplicity 2)
Be (0.0000, 0.0000, 0.3912) (multiplicity 4)
Ga (0.0000, 0.5000, 0.2500) (multiplicity 4)

Principal peaks in the range 2θ = 10–90°, in order of rising 2θ:
2θ = 17.3°, I = 44.3
2θ = 34.9°, I = 24.6
2θ = 36.6°, I = 100.0
2θ = 45.9°, I = 28.2
2θ = 48.1°, I = 16.8
2θ = 59.0°, I = 20.4
2θ = 63.7°, I = 16.6
2θ = 78.8°, I = 19.3

=====

[2]
For SrPdPb2, a DFT-relaxed cell (GGA-PBE, Alexandria) gives the computed X-ray powder pattern in this record (λ = 1.5418 Å (Cu Kα)).
Intensities are scaled so that the largest is 100.

Structural model:
Lattice parameters (Å, degrees): 17.4700 8.1182 6.2432 90.00 90.00 90.00
Space group Pnma (No. 62)
Inequivalent atoms, fractional coordinates:
Sr (0.1086, 0.2500, 0.2472) (multiplicity 4)
Sr (0.1432, 0.7500, 0.0197) (multiplicity 4)
Pd (0.0748, 0.7500, 0.4973) (multiplicity 4)
Pd (0.1699, 0.2500, 0.7607) (multiplicity 4)
Pb (0.0347, 0.0486, 0.7448) (multiplicity 8)
Pb (0.2151, 0.5525, 0.5188) (multiplicity 8)

Principal peaks in the range 2θ = 10–90°, in order of rising 2θ:
2θ = 30.1°, I = 77.0
2θ = 30.4°, I = 100.0
2θ = 32.4°, I = 60.1
2θ = 33.4°, I = 34.2
2θ = 34.0°, I = 36.5
2θ = 37.8°, I = 86.8
2θ = 39.2°, I = 35.5
2θ = 54.9°, I = 35.1

=====

[3]
For Ho3ThSc7, a DFT-relaxed cell (GGA-PBE, Alexandria) gives the computed X-ray powder pattern in this record (λ = 1.5418 Å (Cu Kα)).
Intensities are scaled so that the largest is 100.

Structural model:
Lattice parameters (Å, degrees): 6.6222 6.6222 8.2583 90.00 90.00 120.00
Space group P3m1 (No. 156)
Inequivalent atoms, fractional coordinates:
Ho (0.0003, 0.5001, 0.0000) (multiplicity 3)
Th (0.3333, 0.6667, 0.3436) (multiplicity 1)
Sc (0.1682, 0.3363, 0.6612) (multiplicity 3)
Sc (0.3343, 0.1671, 0.3461) (multiplicity 3)
Sc (0.6667, 0.3333, 0.6640) (multiplicity 1)

Principal peaks in the range 2θ = 10–90°, in order of rising 2θ:
2θ = 15.5°, I = 47.2
2θ = 18.8°, I = 28.5
2θ = 29.1°, I = 21.8
2θ = 32.5°, I = 31.8
2θ = 33.1°, I = 100.0
2θ = 38.2°, I = 64.4
2θ = 54.8°, I = 24.0
2θ = 65.8°, I = 23.9

=====

[4]
For LiTmAu, a DFT-relaxed cell (GGA-PBE, Alexandria) gives the computed X-ray powder pattern in this record (λ = 1.5418 Å (Cu Kα)).
Intensities are scaled so that the largest is 100.

Structural model:
Lattice parameters (Å, degrees): 3.4443 4.8492 16.1953 90.00 90.00 90.00
Space group Immm (No. 71)
Inequivalent atoms, fractional coordinates:
Li (0.0000, 0.2495, 0.0000) (multiplicity 4)
Tm (0.0000, 0.0000, 0.3264) (multiplicity 4)
Au (0.0000, 0.0000, 0.1469) (multiplicity 4)

Principal peaks in the range 2θ = 10–90°, in order of rising 2θ:
2θ = 10.9°, I = 91.5
2θ = 22.0°, I = 45.4
2θ = 31.9°, I = 100.0
2θ = 33.2°, I = 44.6
2θ = 33.8°, I = 28.9
2θ = 37.1°, I = 32.6
2θ = 39.0°, I = 44.5
2θ = 46.7°, I = 49.8

=====

> What is the formula in the third record?

Ho3ThSc7